# 1
BaAgTeO: calculated powder diffractogram (Cu Kα), based on DFT lattice parameters and positions (GGA-PBE).

Top 10 peaks for 2θ = 10–90°, in order of rising 2θ:
2θ 27.52, intensity 100
2θ 28.27, intensity 24
2θ 31.91, intensity 36
2θ 33.85, intensity 42
2θ 40.79, intensity 18
2θ 43.15, intensity 15
2θ 45.17, intensity 20
2θ 52.70, intensity 17
2θ 54.02, intensity 22
2θ 56.36, intensity 20

Structure:
```
8
Lattice="2.8048 -4.5054 0.0000 2.8048 4.5054 0.0000 0.0000 0.0000 8.8477" Properties=species:S:1:pos:R:3 pbc="T T T"
Ba 2.8048 4.4507 4.4238
Ba 2.8048 -4.4507 0.0000
Ag 2.8048 1.1309 2.2052
Ag 2.8048 -1.1309 6.6291
Te 2.8048 1.4606 6.6344
Te 2.8048 -1.4606 2.2105
O 2.8048 3.2098 2.1790
O 2.8048 -3.2098 6.6028
```

***

# 2
DyTePO: calculated powder diffractogram (Cu Kα), based on DFT lattice parameters and positions (GGA-PBE).

Top 10 peaks for 2θ = 10–90°, in order of rising 2θ:
2θ 19.12, intensity 18
2θ 20.92, intensity 46
2θ 24.36, intensity 18
2θ 25.69, intensity 100
2θ 28.59, intensity 30
2θ 29.74, intensity 24
2θ 34.40, intensity 37
2θ 40.88, intensity 28
2θ 45.30, intensity 17
2θ 51.36, intensity 24

Structure:
```
8
Lattice="5.2172 0.0000 0.0000 0.0000 7.3090 0.0000 0.0000 0.0000 6.0080" Properties=species:S:1:pos:R:3 pbc="T T T"
Dy 0.0000 1.2837 0.0000
Dy 0.0000 6.0253 3.0040
Te 2.6086 2.3678 3.5411
Te 2.6086 4.9412 0.5371
P 2.6086 2.4336 0.0706
P 2.6086 4.8754 3.0746
O 0.0000 0.3399 1.7882
O 0.0000 6.9691 4.7922
```